No. 1
Simulated PXRD pattern
Compound: Nd7Ga2Ge2
Radiation: a wavelength of 1.5418 Å
Structure: DFT lattice parameters and positions (PBE)

Crystal structure
abc: 6.8340 6.8340 7.4676
angles: 90.00 90.00 110.23
Fractional positions:
Nd 0.0000 0.0000 0.0000
Nd 0.0000 0.5000 0.2907
Nd 0.0000 0.5000 0.7093
Nd 0.5000 0.0000 0.2907
Nd 0.5000 0.0000 0.7093
Nd 0.5000 0.5000 0.2558
Nd 0.5000 0.5000 0.7442
Ga 0.2864 0.7136 0.0000
Ga 0.7136 0.2864 0.0000
Ge 0.1672 0.1672 0.5000
Ge 0.8328 0.8328 0.5000

Peak list (10 most intense, 2θ from 5° to 70°, low angle first)
two_theta	I_rel
25.73	449
27.65	662
27.83	931
31.93	794
35.89	534
36.95	1000
46.47	210
48.78	250
57.49	200
60.22	306



No. 2
Simulated PXRD pattern
Compound: Nd2Ga3Ge
Radiation: a wavelength of 1.5418 Å
Structure: DFT lattice parameters and positions (PBE)

Crystal structure
abc: 8.5192 8.5124 6.0378
angles: 69.30 69.18 41.53
Fractional positions:
Nd 0.2461 0.7539 0.2461
Nd 0.2500 0.2500 0.2500
Nd 0.7500 0.7500 0.7500
Nd 0.7539 0.2461 0.7539
Ga 0.1690 0.6646 0.8310
Ga 0.3347 0.3347 0.6653
Ga 0.3354 0.8310 0.6646
Ga 0.6646 0.1690 0.3354
Ga 0.6653 0.6653 0.3347
Ga 0.8310 0.3354 0.1690
Ge 0.1673 0.1673 0.8327
Ge 0.8327 0.8327 0.1673

Peak list (10 most intense, 2θ from 5° to 70°, low angle first)
two_theta	I_rel
24.13	106
32.05	1000
42.27	139
42.46	412
49.26	31
49.43	16
54.14	150
54.22	74
61.46	270
67.04	17



No. 3
Simulated PXRD pattern
Compound: Nd3Ga3Ge
Radiation: a wavelength of 1.5418 Å
Structure: DFT lattice parameters and positions (PBE)

Crystal structure
abc: 9.8883 9.8883 9.8883
angles: 155.50 154.36 35.76
Fractional positions:
Nd 0.0000 0.0000 0.0000
Nd 0.1821 0.6821 0.5000
Nd 0.3683 0.3683 0.0000
Ga 0.5388 0.5388 0.0000
Ga 0.7511 0.2511 0.5000
Ga 0.8261 0.8261 0.0000
Ge 0.6189 0.1189 0.5000

Peak list (10 most intense, 2θ from 5° to 70°, low angle first)
two_theta	I_rel
25.54	203
30.98	1000
31.31	538
35.21	259
39.82	287
41.14	272
41.41	178
43.11	238
54.24	226
58.59	181



No. 4
Simulated PXRD pattern
Compound: Nd3GaGe6Pt2
Radiation: a wavelength of 1.5418 Å
Structure: DFT lattice parameters and positions (PBE)

Crystal structure
abc: 5.9890 5.9890 8.3743
angles: 90.00 90.00 120.00
Fractional positions:
Nd 0.0000 0.0000 0.0000
Nd 0.3333 0.6667 0.6277
Nd 0.6667 0.3333 0.3723
Ga 0.0000 0.0000 0.5000
Ge 0.1892 0.3784 0.2728
Ge 0.1892 0.8108 0.2728
Ge 0.3784 0.1892 0.7272
Ge 0.6216 0.8108 0.2728
Ge 0.8108 0.1892 0.7272
Ge 0.8108 0.6216 0.7272
Pt 0.3333 0.6667 0.0147
Pt 0.6667 0.3333 0.9853

Peak list (10 most intense, 2θ from 5° to 70°, low angle first)
two_theta	I_rel
27.37	295
29.84	1000
31.73	209
32.06	335
36.26	521
36.90	963
40.93	329
44.37	423
57.69	304
61.98	328



No. 5
Simulated PXRD pattern
Compound: NdGaGe2Ru2
Radiation: a wavelength of 1.5418 Å
Structure: DFT lattice parameters and positions (PBE)

Crystal structure
abc: 4.5608 4.5608 5.6247
angles: 90.00 90.00 90.00
Fractional positions:
Nd 0.0000 0.0000 0.0000
Ga 0.0000 0.0000 0.5000
Ge 0.5000 0.5000 0.2364
Ge 0.5000 0.5000 0.7636
Ru 0.0000 0.5000 0.5000
Ru 0.5000 0.0000 0.5000

Peak list (10 most intense, 2θ from 5° to 70°, low angle first)
two_theta	I_rel
15.76	242
27.66	205
31.82	208
31.99	910
37.57	937
39.52	1000
51.60	210
55.67	591
57.12	335
66.95	306



No. 6
Simulated PXRD pattern
Compound: Nd2GaSnGe
Radiation: a wavelength of 1.5418 Å
Structure: DFT lattice parameters and positions (PBE)

Crystal structure
abc: 6.4057 4.3755 9.0409
angles: 90.00 90.08 90.00
Fractional positions:
Nd 0.2439 0.2500 0.4674
Nd 0.2451 0.2500 0.0323
Nd 0.7549 0.7500 0.9677
Nd 0.7561 0.7500 0.5326
Ga 0.4514 0.7500 0.2503
Ga 0.5486 0.2500 0.7497
Sn 0.2670 0.7500 0.7496
Sn 0.7330 0.2500 0.2504
Ge 0.0575 0.7500 0.2496
Ge 0.9425 0.2500 0.7504

Peak list (10 most intense, 2θ from 5° to 70°, low angle first)
two_theta	I_rel
27.86	155
31.70	1000
32.84	136
34.31	148
36.16	392
39.89	156
41.27	202
52.53	115
58.74	101
69.26	106



- What is the formula in the fifth record?
  NdGaGe2Ru2